# 1
The following is a simulated X-ray diffraction stick pattern of GaHPd5. It was derived from a crystal structure in Alexandria, relaxed with GGA-PBE, using Cu Kα.
Lines closer than 0.1° are merged.

Top 10 peaks for 2θ from 5° to 70°, by angle:
d [Å]	I_rel
3.799	198
2.680	467
2.651	285
2.386	238
2.345	263
2.170	1000
2.021	293
1.996	327
1.899	289
1.683	188

Structure:
Cell: 6.513 6.513 6.513 Å, 110.75 108.64 109.03°
Atoms (fractional coordinates):
Ga 0.427 0.177 0.250
Ga 0.573 0.823 0.750
H 0.000 0.000 0.500
H 0.000 0.500 0.000
Pd 0.078 0.828 0.250
Pd 0.251 0.321 0.570
Pd 0.251 0.681 0.930
Pd 0.265 0.000 0.765
Pd 0.265 0.500 0.265
Pd 0.735 0.000 0.235
Pd 0.735 0.500 0.735
Pd 0.749 0.319 0.070
Pd 0.749 0.679 0.430
Pd 0.922 0.172 0.750

=====

# 2
The following is a simulated X-ray diffraction stick pattern of GaHPd3. It was derived from a crystal structure in Alexandria, relaxed with GGA-PBE, using Cu Kα.
Lines closer than 0.1° are merged.

Top 10 peaks for 2θ from 5° to 70°, by angle:
d [Å]	I_rel
2.377	545
2.308	1000
2.287	727
2.247	878
2.199	427
2.195	151
1.981	280
1.934	335
1.772	162
1.471	191

Structure:
Cell: 2.942 5.648 7.923 Å, 90.11 90.02 104.98°
Atoms (fractional coordinates):
Ga 0.000 0.000 0.000
Ga 0.480 0.963 0.495
H 0.253 0.505 0.633
H 0.749 0.478 0.224
Pd 0.096 0.198 0.706
Pd 0.104 0.211 0.289
Pd 0.371 0.741 0.203
Pd 0.375 0.749 0.798
Pd 0.698 0.398 0.994
Pd 0.779 0.559 0.496

=====

# 3
The following is a simulated X-ray diffraction stick pattern of ZnGaHPd4. It was derived from a crystal structure in Alexandria, relaxed with GGA-PBE, using Cu Kα.
Lines closer than 0.1° are merged.

Top 10 peaks for 2θ from 5° to 70°, by angle:
d [Å]	I_rel
6.562	107
2.719	102
2.512	1000
2.187	325
2.168	167
2.093	832
1.922	571
1.444	334
1.438	86
1.359	177

Structure:
Cell: 7.103 7.103 5.440 Å, 90.00 90.00 135.01°
Atoms (fractional coordinates):
Zn 0.109 0.891 0.750
Zn 0.891 0.109 0.250
Ga 0.389 0.611 0.750
Ga 0.611 0.389 0.250
H 0.242 0.758 0.250
H 0.758 0.242 0.750
Pd 0.000 0.500 0.000
Pd 0.000 0.500 0.500
Pd 0.081 0.919 0.250
Pd 0.425 0.575 0.250
Pd 0.500 0.000 0.000
Pd 0.500 0.000 0.500
Pd 0.575 0.425 0.750
Pd 0.919 0.081 0.750

=====

# 4
The following is a simulated X-ray diffraction stick pattern of PmGaHRh2. It was derived from a crystal structure in Alexandria, relaxed with GGA-PBE, using Cu Kα.
Lines closer than 0.1° are merged.

Top 10 peaks for 2θ from 5° to 70°, by angle:
d [Å]	I_rel
2.652	609
2.603	402
2.564	1000
2.494	605
2.237	277
2.217	307
2.019	225
1.895	306
1.510	211
1.440	251

Structure:
Cell: 5.883 5.883 7.329 Å, 90.00 90.00 142.42°
Atoms (fractional coordinates):
Pm 0.049 0.951 0.750
Pm 0.951 0.049 0.250
Ga 0.228 0.772 0.250
Ga 0.772 0.228 0.750
H 0.500 0.500 0.000
H 0.500 0.500 0.500
Rh 0.347 0.653 0.550
Rh 0.347 0.653 0.950
Rh 0.653 0.347 0.050
Rh 0.653 0.347 0.450

=====

# 5
The following is a simulated X-ray diffraction stick pattern of Pr5Ga2H2. It was derived from a crystal structure in Alexandria, relaxed with GGA-PBE, using Cu Kα.
Lines closer than 0.1° are merged.

Top 10 peaks for 2θ from 5° to 70°, by angle:
d [Å]	I_rel
3.227	229
3.077	786
2.969	287
2.787	770
2.774	1000
2.702	571
1.998	184
1.914	157
1.573	334
1.563	280

Structure:
Cell: 6.793 6.793 6.540 Å, 98.55 98.55 46.87°
Atoms (fractional coordinates):
Pr 0.000 0.000 0.000
Pr 0.153 0.153 0.528
Pr 0.337 0.337 0.101
Pr 0.663 0.663 0.899
Pr 0.847 0.847 0.472
Ga 0.427 0.427 0.660
Ga 0.573 0.573 0.340
H 0.168 0.168 0.886
H 0.832 0.832 0.114

=====

# 6
The following is a simulated X-ray diffraction stick pattern of Pr2GaHRh6. It was derived from a crystal structure in Alexandria, relaxed with GGA-PBE, using Cu Kα.
Lines closer than 0.1° are merged.

Top 10 peaks for 2θ from 5° to 70°, by angle:
d [Å]	I_rel
3.093	138
2.529	738
2.518	738
2.185	1000
2.010	67
2.005	91
1.686	57
1.550	99
1.545	402
1.540	101

Structure:
Cell: 6.179 6.179 6.161 Å, 119.84 119.84 90.08°
Atoms (fractional coordinates):
Pr 0.249 0.751 0.000
Pr 0.751 0.249 0.000
Ga 0.000 0.000 0.500
H 0.500 0.500 0.500
Rh 0.275 0.725 0.500
Rh 0.277 0.277 0.051
Rh 0.277 0.277 0.503
Rh 0.723 0.723 0.497
Rh 0.723 0.723 0.949
Rh 0.725 0.275 0.500

=====

What did the fifth record say?
The following is a simulated X-ray diffraction stick pattern of Pr5Ga2H2. It was derived from a crystal structure in Alexandria, relaxed with GGA-PBE, using Cu Kα.
Lines closer than 0.1° are merged.

Top 10 peaks for 2θ from 5° to 70°, by angle:
d [Å]	I_rel
3.227	229
3.077	786
2.969	287
2.787	770
2.774	1000
2.702	571
1.998	184
1.914	157
1.573	334
1.563	280

Structure:
Cell: 6.793 6.793 6.540 Å, 98.55 98.55 46.87°
Atoms (fractional coordinates):
Pr 0.000 0.000 0.000
Pr 0.153 0.153 0.528
Pr 0.337 0.337 0.101
Pr 0.663 0.663 0.899
Pr 0.847 0.847 0.472
Ga 0.427 0.427 0.660
Ga 0.573 0.573 0.340
H 0.168 0.168 0.886
H 0.832 0.832 0.114